Computed powder X-ray diffraction pattern of Tb5SmHo8 for Cu Kα (weighted mean of Kα1 and Kα2), from a DFT-relaxed cell (GGA-PBE, Alexandria).
Lines closer than 0.1° are merged.

Atomic structure:
```
data_Tb5SmHo8
_cell_length_a 9.488
_cell_length_b 9.488
_cell_length_c 10.127
_cell_angle_alpha 90.00
_cell_angle_beta 90.00
_cell_angle_gamma 90.00
_space_group_name_H-M_alt 'I -4'
_space_group_IT_number 82
loop_
_space_group_symop_operation_xyz
'x,y,z'
'y,-x,-z'
'-x,-y,z'
'-y,x,-z'
'x+1/2,y+1/2,z+1/2'
'y+1/2,-x+1/2,-z+1/2'
'-x+1/2,-y+1/2,z+1/2'
'-y+1/2,x+1/2,-z+1/2'
loop_
_atom_site_label
_atom_site_type_symbol
_atom_site_fract_x
_atom_site_fract_y
_atom_site_fract_z
_atom_site_occupancy
Tb1 Tb 0.000 0.000 0.000 1
Tb2 Tb 0.112 0.211 0.575 1
Sm1 Sm 0.000 0.500 0.250 1
Ho1 Ho 0.071 0.323 0.901 1
Ho2 Ho 0.088 0.174 0.247 1
```

Largest 10 diffraction maxima, most intense first, 2θ = 10–80°:
2θ (°)  d (Å)  intensity
33.94  2.642  1000
29.78  3.000  753
29.59  3.019  662
28.06  3.180  579
35.24  2.547  525
34.76  2.581  452
32.01  2.796  228
63.21  1.471  208
56.60  1.626  186
61.86  1.500  176